# 1
Computed X-ray diffraction stick pattern of Ca2BeH2 for CuKα, from the GGA-PBE geometry in Alexandria.

Principal peaks in the range 10° ≤ 2θ ≤ 90°, in order of rising 2θ:
25.00°, I = 56, hkl 1 0 1; 28.73°, I = 19, hkl 0 0 4; 32.36°, I = 100, hkl 1 0 3; 34.11°, I = 46, hkl 1 1 0; 45.18°, I = 24, hkl 1 1 4; 49.01°, I = 17, hkl 2 0 0; 55.79°, I = 10, hkl 2 1 1; 56.56°, I = 11, hkl 1 1 6; 57.52°, I = 14, hkl 1 0 7; 59.96°, I = 29, hkl 2 1 3

Structural model:
Unit cell a=3.717 b=3.717 c=12.430 alpha=90.00 beta=90.00 gamma=90.00
Space group I4/mmm (No. 139)
Symmetry-distinct sites (fractional):
Ca (0.000, 0.000, 0.146) x4
Be (0.000, 0.000, 0.500) x2
H (0.000, 0.500, 0.250) x4

# 2
Computed X-ray diffraction stick pattern of KCaBeH6 for CuKα, from the GGA-PBE geometry in Alexandria.

Principal peaks in the range 10° ≤ 2θ ≤ 90°, in order of rising 2θ:
20.72°, I = 26, hkl 1 0 0; 29.69°, I = 100, hkl 0 1 1; 36.30°, I = 42, hkl 1 1 0; 42.83°, I = 8, hkl 0 0 2; 47.57°, I = 29, hkl 2 0 1; 48.03°, I = 10, hkl 1 0 2; 57.36°, I = 15, hkl 1 1 2; 61.27°, I = 21, hkl 1 2 1; 70.40°, I = 7, hkl 0 1 3; 84.69°, I = 8, hkl 3 1 1

Structural model:
Unit cell a=4.9503 b=4.9503 c=4.2231 alpha=90.00 beta=90.00 gamma=120.00
Space group P3m1 (No. 156)
Symmetry-distinct sites (fractional):
K (0.0000, 0.0000, 0.0000) x1
Ca (0.3333, 0.6667, 0.4859) x1
Be (0.6667, 0.3333, 0.7074) x1
H (0.3680, 0.1840, 0.4951) x3
H (0.5101, 0.0202, 0.9218) x3

# 3
Computed X-ray diffraction stick pattern of CaBe2NiH8 for CuKα, from the GGA-PBE geometry in Alexandria.

Principal peaks in the range 10° ≤ 2θ ≤ 90°, in order of rising 2θ:
14.68°, I = 30, hkl 0 0 1; 23.68°, I = 84, hkl 1 0 0; 24.11°, I = 100, hkl 0 1 0; 25.71°, I = 83, hkl 1 1 0; 29.61°, I = 53, hkl 0 0 2; 32.86°, I = 55, hkl 0 1 2; 36.14°, I = 38, hkl 1 0 -2; 36.31°, I = 28, hkl 1 1 2; 40.28°, I = 30, hkl 1 0 2; 40.87°, I = 28, hkl 1 -1 0

Structural model:
Unit cell a=4.146 b=4.207 c=6.268 alpha=75.49 beta=89.49 gamma=65.73
Space group P-1 (No. 2)
Symmetry-distinct sites (fractional):
Ca (0.000, 0.000, 0.000) x1
Be (0.430, 0.267, 0.323) x2
Ni (0.000, 0.000, 0.500) x1
H (0.197, 0.688, 0.706) x2
H (0.247, 0.174, 0.537) x2
H (0.271, 0.646, 0.327) x2
H (0.369, 0.248, 0.101) x2

# 4
Computed X-ray diffraction stick pattern of Ca3Be2P4H10O20 for CuKα, from the GGA-PBE geometry in Alexandria.

Principal peaks in the range 10° ≤ 2θ ≤ 90°, in order of rising 2θ:
11.63°, I = 51, hkl 0 0 1; 24.25°, I = 100, hkl 1 1 1; 26.26°, I = 36, hkl 1 -2 0; 26.84°, I = 48, hkl 1 1 -2; 27.15°, I = 43, hkl 1 -2 1; 29.28°, I = 57, hkl -2 1 1; 29.39°, I = 31, hkl 1 2 0; 34.17°, I = 38, hkl 2 1 1; 38.86°, I = 32, hkl 0 2 -3; 40.42°, I = 34, hkl -1 1 3

Structural model:
Unit cell a=7.069 b=7.423 c=7.810 alpha=101.56 beta=94.71 gamma=96.64
Space group P-1 (No. 2)
Symmetry-distinct sites (fractional):
Ca (0.000, 0.000, 0.000) x1
Ca (0.026, 0.294, 0.613) x2
Be (0.482, 0.736, 0.422) x2
P (0.269, 0.360, 0.304) x2
P (0.318, 0.957, 0.698) x2
H (0.178, 0.653, 0.029) x2
H (0.272, 0.363, 0.958) x2
H (0.287, 0.818, 0.171) x2
H (0.376, 0.478, 0.833) x2
H (0.491, 0.157, 0.125) x2
O (0.071, 0.416, 0.336) x2
O (0.118, 0.016, 0.719) x2
O (0.155, 0.760, 0.122) x2
O (0.251, 0.449, 0.878) x2
O (0.267, 0.222, 0.125) x2
O (0.302, 0.807, 0.525) x2
O (0.321, 0.260, 0.457) x2
O (0.371, 0.866, 0.859) x2
O (0.422, 0.528, 0.303) x2
O (0.476, 0.121, 0.709) x2

# 5
Computed X-ray diffraction stick pattern of RbCaBe2H8 for CuKα, from the GGA-PBE geometry in Alexandria.

Principal peaks in the range 10° ≤ 2θ ≤ 90°, in order of rising 2θ:
20.26°, I = 37, hkl 0 0 2; 23.56°, I = 78, hkl 1 0 0; 25.69°, I = 22, hkl 1 0 1; 31.27°, I = 100, hkl 0 1 2; 41.41°, I = 24, hkl 1 1 0; 46.52°, I = 25, hkl 1 1 2; 48.00°, I = 27, hkl 1 0 4; 52.79°, I = 21, hkl 2 0 2; 59.84°, I = 14, hkl 1 1 4; 69.22°, I = 18, hkl 1 2 2

Structural model:
Unit cell a=4.3607 b=4.3607 c=8.7645 alpha=90.00 beta=90.00 gamma=120.00
Space group P-3m1 (No. 164)
Symmetry-distinct sites (fractional):
Rb (0.0000, 0.0000, 0.0000) x1
Ca (0.0000, 0.0000, 0.5000) x1
Be (0.3333, 0.6667, 0.7011) x2
H (0.0104, 0.5052, 0.3728) x6
H (0.3333, 0.6667, 0.8614) x2

# 6
Computed X-ray diffraction stick pattern of CaBe2Hg for CuKα, from the GGA-PBE geometry in Alexandria.

Principal peaks in the range 10° ≤ 2θ ≤ 90°, in order of rising 2θ:
12.35°, I = 100, hkl 0 0 1; 24.85°, I = 21, hkl 0 0 2; 30.60°, I = 41, hkl 0 1 1; 32.15°, I = 36, hkl 1 0 1; 37.68°, I = 41, hkl 0 0 3; 38.99°, I = 24, hkl 1 0 2; 41.09°, I = 25, hkl 1 1 0; 43.07°, I = 21, hkl 1 1 1; 48.61°, I = 21, hkl 1 1 2; 56.95°, I = 18, hkl 1 1 3

Structural model:
Unit cell a=3.022 b=3.200 c=7.165 alpha=90.00 beta=90.00 gamma=90.00
Space group Pmm2 (No. 25)
Symmetry-distinct sites (fractional):
Ca (0.000, 0.000, 0.000) x1
Be (0.000, 0.000, 0.413) x1
Be (0.500, 0.500, 0.299) x1
Hg (0.500, 0.500, 0.667) x1

# 7
Computed X-ray diffraction stick pattern of Ca2Be2HgPd5 for CuKα, from the GGA-PBE geometry in Alexandria.

Principal peaks in the range 10° ≤ 2θ ≤ 90°, in order of rising 2θ:
12.73°, I = 31, hkl 1 1 0; 18.04°, I = 32, hkl 2 0 0; 28.84°, I = 28, hkl 1 1 1; 32.95°, I = 28, hkl 2 1 1; 36.54°, I = 26, hkl 4 0 0; 36.65°, I = 47, hkl 2 2 1; 37.71°, I = 34, hkl 4 1 0; 38.95°, I = 100, hkl 3 1 1; 41.04°, I = 49, hkl 4 2 0; 73.36°, I = 31, hkl 7 1 1

Structural model:
Unit cell a=9.836 b=9.836 c=3.457 alpha=90.00 beta=90.00 gamma=90.00
Space group P4/mbm (No. 127)
Symmetry-distinct sites (fractional):
Ca (0.178, 0.322, 0.000) x4
Be (0.119, 0.619, 0.000) x4
Hg (0.000, 0.000, 0.000) x2
Pd (0.000, 0.500, 0.500) x2
Pd (0.069, 0.777, 0.500) x8

# 8
Computed X-ray diffraction stick pattern of CaHoBeN2 for CuKα, from the GGA-PBE geometry in Alexandria.

Principal peaks in the range 10° ≤ 2θ ≤ 90°, in order of rising 2θ:
17.31°, I = 34, hkl 0 1 0; 17.64°, I = 53, hkl 1 0 0; 24.81°, I = 100, hkl 1 1 0; 27.43°, I = 28, hkl 0 0 2; 32.62°, I = 21, hkl 0 1 2; 35.73°, I = 18, hkl 2 0 0; 37.32°, I = 79, hkl 1 1 2; 45.05°, I = 25, hkl 0 2 2; 45.62°, I = 23, hkl 2 0 2; 50.90°, I = 18, hkl 2 2 0

Structural model:
Unit cell a=5.027 b=5.124 c=6.502 alpha=90.00 beta=90.00 gamma=90.00
Space group Pccm (No. 49)
Symmetry-distinct sites (fractional):
Ca (0.000, 0.000, 0.250) x2
Ho (0.500, 0.500, 0.250) x2
Be (0.500, 0.000, 0.000) x2
N (0.307, 0.236, 0.000) x4

# 9
Computed X-ray diffraction stick pattern of LiCaBeI for CuKα, from the GGA-PBE geometry in Alexandria.

Principal peaks in the range 10° ≤ 2θ ≤ 90°, in order of rising 2θ:
12.26°, I = 100, hkl 0 0 1; 24.23°, I = 46, hkl 1 0 0; 24.55°, I = 56, hkl 1 0 -1; 24.66°, I = 40, hkl 0 0 2; 27.11°, I = 86, hkl 0 1 1; 34.43°, I = 37, hkl 1 1 0; 34.71°, I = 64, hkl 0 1 2; 38.60°, I = 34, hkl 1 1 1; 39.22°, I = 36, hkl 1 1 -2; 55.88°, I = 31, hkl 2 1 0

Structural model:
Unit cell a=3.773 b=3.695 c=7.417 alpha=90.00 beta=103.23 gamma=90.00
Space group Pm (No. 6)
Symmetry-distinct sites (fractional):
Li (0.000, 0.000, 0.000) x1
Ca (0.819, 0.000, 0.577) x1
Be (0.418, 0.500, 0.798) x1
I (0.592, 0.500, 0.204) x1

# 10
Computed X-ray diffraction stick pattern of CaBe4In for CuKα, from the GGA-PBE geometry in Alexandria.

Principal peaks in the range 10° ≤ 2θ ≤ 90°, in order of rising 2θ:
22.03°, I = 100, hkl 1 1 1; 25.49°, I = 25, hkl 2 0 0; 36.36°, I = 85, hkl 2 2 0; 42.92°, I = 75, hkl 3 1 1; 57.47°, I = 22, hkl 3 3 1; 65.41°, I = 28, hkl 4 2 2; 69.94°, I = 23, hkl 5 1 1; 77.21°, I = 11, hkl 4 4 0; 81.47°, I = 15, hkl 5 3 1; 88.47°, I = 12, hkl 6 2 0

Structural model:
Unit cell a=6.989 b=6.989 c=6.989 alpha=90.00 beta=90.00 gamma=90.00
Space group F-43m (No. 216)
Symmetry-distinct sites (fractional):
Ca (0.000, 0.000, 0.000) x4
Be (0.132, 0.132, 0.632) x16
In (0.250, 0.250, 0.250) x4

Please write out number 7 again, unchanged.
Computed X-ray diffraction stick pattern of Ca2Be2HgPd5 for CuKα, from the GGA-PBE geometry in Alexandria.

Principal peaks in the range 10° ≤ 2θ ≤ 90°, in order of rising 2θ:
12.73°, I = 31, hkl 1 1 0; 18.04°, I = 32, hkl 2 0 0; 28.84°, I = 28, hkl 1 1 1; 32.95°, I = 28, hkl 2 1 1; 36.54°, I = 26, hkl 4 0 0; 36.65°, I = 47, hkl 2 2 1; 37.71°, I = 34, hkl 4 1 0; 38.95°, I = 100, hkl 3 1 1; 41.04°, I = 49, hkl 4 2 0; 73.36°, I = 31, hkl 7 1 1

Structural model:
Unit cell a=9.836 b=9.836 c=3.457 alpha=90.00 beta=90.00 gamma=90.00
Space group P4/mbm (No. 127)
Symmetry-distinct sites (fractional):
Ca (0.178, 0.322, 0.000) x4
Be (0.119, 0.619, 0.000) x4
Hg (0.000, 0.000, 0.000) x2
Pd (0.000, 0.500, 0.500) x2
Pd (0.069, 0.777, 0.500) x8